[1]
For CuOs3, a DFT-relaxed cell (PBE, Alexandria) gives the calculated powder diffractogram in this record (Cu Kα (weighted mean of Kα1 and Kα2)).
Neutral-atom scattering factors, no anomalous dispersion.

Atomic structure:
a b c (Å): 2.738 2.738 8.642
angles (deg): 90.00 90.00 120.00
Sites, in units of the cell vectors:
1 Cu 0.000 0.000 0.000
2 Os 0.000 0.000 0.500
3 Os 0.667 0.333 0.254
4 Os 0.667 0.333 0.746

The 10 most intense peaks (2θ from 10° to 80°), by intensity:
| 2θ (°) | I (rel.) | hkl |
| --- | --- | --- |
| 43.53 | 1000 | 1 0 2 |
| 10.24 | 275 | 0 0 1 |
| 37.94 | 267 | 1 0 0 |
| 41.81 | 245 | 0 0 4 |
| 77.54 | 183 | 1 0 6 |
| 68.54 | 172 | 1 1 0 |
| 57.72 | 159 | 1 0 4 |
| 39.40 | 57 | 1 0 1 |
| 20.55 | 51 | 0 0 2 |
| 49.80 | 41 | 1 0 3 |

=====

[2]
For CuPOsS, a DFT-relaxed cell (PBE, Alexandria) gives the calculated powder diffractogram in this record (Cu Kα (weighted mean of Kα1 and Kα2)).
Neutral-atom scattering factors, no anomalous dispersion.

Atomic structure:
a b c (Å): 3.701 3.716 5.412
angles (deg): 80.92 84.37 60.63
Sites, in units of the cell vectors:
1 Cu 0.000 0.000 0.000
2 P 0.177 0.392 0.676
3 Os 0.845 0.091 0.531
4 S 0.562 0.770 0.245

The 10 most intense peaks (2θ from 10° to 80°), by intensity:
| 2θ (°) | I (rel.) | hkl |
| --- | --- | --- |
| 16.59 | 1000 | 0 0 1 |
| 27.78 | 875 | 0 1 0 |
| 27.67 | 776 | 1 0 0 |
| 28.19 | 701 | 1 1 0 |
| 40.84 | 564 | 1 1 2 |
| 33.55 | 494 | 0 0 2 |
| 32.79 | 492 | 1 0 -1 |
| 30.61 | 490 | 1 1 1 |
| 46.91 | 342 | 0 1 -2 |
| 49.71 | 341 | 1 2 0 |

=====

[3]
For CuOsRu, a DFT-relaxed cell (PBE, Alexandria) gives the calculated powder diffractogram in this record (Cu Kα (weighted mean of Kα1 and Kα2)).
Neutral-atom scattering factors, no anomalous dispersion.

Atomic structure:
a b c (Å): 8.017 4.622 5.151
angles (deg): 90.00 122.24 90.00
Sites, in units of the cell vectors:
1 Cu 0.000 0.083 0.000
2 Cu 0.000 0.917 0.500
3 Cu 0.500 0.417 0.500
4 Cu 0.500 0.583 0.000
5 Os 0.333 0.085 0.001
6 Os 0.333 0.915 0.501
7 Os 0.833 0.415 0.501
8 Os 0.833 0.585 0.001
9 Ru 0.166 0.417 0.498
10 Ru 0.166 0.583 0.998
11 Ru 0.666 0.083 0.998
12 Ru 0.666 0.917 0.498

The 10 most intense peaks (2θ from 10° to 80°), by intensity:
| 2θ (°) | I (rel.) | hkl |
| --- | --- | --- |
| 44.05 | 1000 | 3 1 -2 |
| 44.37 | 986 | 0 2 1 |
| 44.63 | 963 | 3 1 0 |
| 41.45 | 796 | 0 0 2 |
| 38.95 | 712 | 3 1 -1 |
| 70.54 | 483 | 6 0 -2 |
| 23.29 | 431 | 1 1 0 |
| 26.29 | 220 | 2 0 0 |
| 77.00 | 195 | 3 1 -4 |
| 77.66 | 185 | 0 2 3 |